Calculated powder X-ray diffraction pattern
Compound: TmBeCrO4
Radiation: Cu Kα
Structure: a DFT-relaxed cell (GGA+U, Alexandria)

```
14
Lattice="-2.916 3.225 4.226 2.916 -3.225 4.226 2.916 3.225 -4.226" Properties=species:S:1:pos:R:3 pbc="T T T"
Tm 0.000 0.000 0.000
Tm 0.000 3.225 0.000
Be 2.916 1.613 0.713
Be 0.000 1.613 3.513
Cr 1.458 1.613 -2.113
Cr 1.458 -1.613 2.113
O 2.916 -0.188 2.046
O 2.916 3.037 -2.046
O 1.525 1.613 -0.022
O 4.307 1.613 -0.022
O -1.391 1.613 4.248
O 1.391 1.613 4.248
O 0.000 0.188 6.272
O 0.000 3.414 2.181
```

Principal peaks in the range 2θ = 15–90°, sorted by position:
two_theta, d [Å], I/Imax
17.29, 5.128, 17
18.48, 4.800, 100
21.02, 4.226, 20
33.47, 2.677, 57
34.99, 2.564, 20
35.39, 2.537, 28
37.47, 2.400, 18
41.76, 2.163, 39
42.79, 2.113, 19
45.49, 1.994, 25
56.31, 1.634, 12
61.33, 1.512, 24